Diffraction record for Sm2AgRu. The X-ray diffraction stick pattern is calculated, not measured: it uses DFT lattice parameters and positions (GGA-PBE) and Cu Kα.

Atomic structure:
```
data_Sm2AgRu
_chemical_formula_sum 'Sm8 Ag4 Ru4'
_cell_length_a 7.1687
_cell_length_b 7.1687
_cell_length_c 7.1687
_cell_angle_alpha 90.00
_cell_angle_beta 90.00
_cell_angle_gamma 90.00
_symmetry_space_group_name_H-M 'F m -3 m'
_symmetry_Int_Tables_number 225
_symmetry_space_group_name_Hall '-F 4 2 3'
loop_
_atom_site_label
_atom_site_type_symbol
_atom_site_fract_x
_atom_site_fract_y
_atom_site_fract_z
_atom_site_occupancy
Sm1 Sm 0.2500 0.2500 0.2500 1
Ag1 Ag 0.0000 0.0000 0.0000 1
Ru1 Ru 0.0000 0.0000 0.5000 1
```

The 8 most intense peaks (15 to 90 degrees two-theta), sorted by position:
2theta, Rel. int.
24.84, 3
35.42, 100
43.74, 1
50.96, 18
57.49, 1
63.58, 36
74.94, 11
85.71, 16

***

Diffraction record for Tm2AgRu. The X-ray diffraction stick pattern is calculated, not measured: it uses DFT lattice parameters and positions (GGA-PBE) and Cu Kα.

Atomic structure:
```
data_Tm2AgRu
_chemical_formula_sum 'Tm8 Ag4 Ru4'
_cell_length_a 6.9334
_cell_length_b 6.9334
_cell_length_c 6.9334
_cell_angle_alpha 90.00
_cell_angle_beta 90.00
_cell_angle_gamma 90.00
_symmetry_space_group_name_H-M 'F m -3 m'
_symmetry_Int_Tables_number 225
_symmetry_space_group_name_Hall '-F 4 2 3'
loop_
_atom_site_label
_atom_site_type_symbol
_atom_site_fract_x
_atom_site_fract_y
_atom_site_fract_z
_atom_site_occupancy
Tm1 Tm 0.2500 0.2500 0.2500 1
Ag1 Ag 0.0000 0.0000 0.0000 1
Ru1 Ru 0.0000 0.0000 0.5000 1
```

The 8 most intense peaks (15 to 90 degrees two-theta), sorted by position:
2theta, Rel. int.
25.70, 6
36.66, 100
45.31, 2
52.82, 17
59.64, 3
66.01, 35
77.95, 11
89.37, 16

***

Diffraction record for AgSbS2. The X-ray diffraction stick pattern is calculated, not measured: it uses DFT lattice parameters and positions (GGA-PBE) and Cu Kα.

Atomic structure:
```
data_AgSbS2
_chemical_formula_sum 'Ag8 Sb8 S16'
_cell_length_a 13.7180
_cell_length_b 5.7945
_cell_length_c 13.5790
_cell_angle_alpha 90.00
_cell_angle_beta 96.27
_cell_angle_gamma 90.00
_symmetry_space_group_name_H-M 'C 1 c 1'
_symmetry_Int_Tables_number 9
loop_
_symmetry_equiv_pos_as_xyz
'x,y,z'
'x,-y,z+1/2'
'x+1/2,y+1/2,z'
'x+1/2,-y+1/2,z+1/2'
loop_
_atom_site_label
_atom_site_type_symbol
_atom_site_fract_x
_atom_site_fract_y
_atom_site_fract_z
_atom_site_occupancy
Ag1 Ag 0.0000 0.0025 0.0000 1
Ag2 Ag 0.0059 0.4962 0.4915 1
Sb1 Sb 0.2212 0.4526 0.1443 1
Sb2 Sb 0.2833 0.0516 0.8552 1
S1 S 0.0581 0.2627 0.1310 1
S2 S 0.1679 0.3594 0.7940 1
S3 S 0.3324 0.1357 0.2038 1
S4 S 0.4418 0.2606 0.8621 1
```

The 8 most intense peaks (15 to 90 degrees two-theta), sorted by position:
2theta, Rel. int.
17.45, 100
20.78, 22
21.68, 38
26.14, 31
28.20, 24
30.81, 23
40.09, 23
44.18, 24

***

Diffraction record for AgSbS2. The X-ray diffraction stick pattern is calculated, not measured: it uses DFT lattice parameters and positions (GGA-PBE) and Cu Kα.

Atomic structure:
```
data_AgSbS2
_chemical_formula_sum 'Ag8 Sb8 S16'
_cell_length_a 13.0530
_cell_length_b 4.5568
_cell_length_c 13.3034
_cell_angle_alpha 90.00
_cell_angle_beta 98.16
_cell_angle_gamma 90.00
_symmetry_space_group_name_H-M 'C 1 c 1'
_symmetry_Int_Tables_number 9
loop_
_symmetry_equiv_pos_as_xyz
'x,y,z'
'x,-y,z+1/2'
'x+1/2,y+1/2,z'
'x+1/2,-y+1/2,z+1/2'
loop_
_atom_site_label
_atom_site_type_symbol
_atom_site_fract_x
_atom_site_fract_y
_atom_site_fract_z
_atom_site_occupancy
Ag1 Ag 0.0000 0.0072 0.0000 1
Ag2 Ag 0.4973 0.0110 0.7499 1
Sb1 Sb 0.2434 0.4712 0.6274 1
Sb2 Sb 0.2551 0.0325 0.8803 1
S1 S 0.1089 0.1777 0.1670 1
S2 S 0.1460 0.3527 0.4517 1
S3 S 0.3555 0.1529 0.0541 1
S4 S 0.3903 0.3085 0.3356 1
```

The 8 most intense peaks (15 to 90 degrees two-theta), sorted by position:
2theta, Rel. int.
25.28, 90
27.61, 27
28.63, 30
30.33, 100
32.22, 50
44.15, 32
45.51, 31
48.92, 23

***

Diffraction record for AgSbS2. The X-ray diffraction stick pattern is calculated, not measured: it uses DFT lattice parameters and positions (GGA-PBE) and Cu Kα.

Atomic structure:
```
data_AgSbS2
_chemical_formula_sum 'Ag8 Sb8 S16'
_cell_length_a 12.9656
_cell_length_b 4.6616
_cell_length_c 13.2713
_cell_angle_alpha 90.00
_cell_angle_beta 98.91
_cell_angle_gamma 90.00
_symmetry_space_group_name_H-M 'C 1 2/c 1'
_symmetry_Int_Tables_number 15
loop_
_symmetry_equiv_pos_as_xyz
'x,y,z'
'-x,-y,-z'
'-x,y,-z+1/2'
'x,-y,z+1/2'
'x+1/2,y+1/2,z'
'-x+1/2,-y+1/2,-z'
'-x+1/2,y+1/2,-z+1/2'
'x+1/2,-y+1/2,z+1/2'
loop_
_atom_site_label
_atom_site_type_symbol
_atom_site_fract_x
_atom_site_fract_y
_atom_site_fract_z
_atom_site_occupancy
Ag1 Ag 0.0000 0.0000 0.0000 1
Ag2 Ag 0.0000 0.4979 0.2500 1
Sb1 Sb 0.2461 0.0271 0.3739 1
S1 S 0.1095 0.3067 0.9149 1
S2 S 0.1446 0.1526 0.1979 1
```

The 8 most intense peaks (15 to 90 degrees two-theta), sorted by position:
2theta, Rel. int.
25.04, 94
27.86, 26
30.05, 100
32.56, 48
44.39, 31
45.39, 30
48.30, 25
48.77, 25

***

Diffraction record for AgSbS2. The X-ray diffraction stick pattern is calculated, not measured: it uses DFT lattice parameters and positions (GGA-PBE) and Cu Kα.

Atomic structure:
```
data_AgSbS2
_chemical_formula_sum 'Ag1 Sb1 S2'
_cell_length_a 3.9700
_cell_length_b 3.9700
_cell_length_c 5.4081
_cell_angle_alpha 90.00
_cell_angle_beta 90.00
_cell_angle_gamma 90.00
_symmetry_space_group_name_H-M 'P 4/m m m'
_symmetry_Int_Tables_number 123
_symmetry_space_group_name_Hall '-P 4 2'
loop_
_atom_site_label
_atom_site_type_symbol
_atom_site_fract_x
_atom_site_fract_y
_atom_site_fract_z
_atom_site_occupancy
Ag1 Ag 0.0000 0.0000 0.0000 1
Sb1 Sb 0.5000 0.5000 0.5000 1
S1 S 0.0000 0.0000 0.5000 1
S2 S 0.5000 0.5000 0.0000 1
```

The 8 most intense peaks (15 to 90 degrees two-theta), sorted by position:
2theta, Rel. int.
27.88, 86
31.88, 100
33.13, 45
45.71, 35
46.64, 66
54.39, 27
57.60, 34
85.22, 23

***

Diffraction record for AgSbS2. The X-ray diffraction stick pattern is calculated, not measured: it uses DFT lattice parameters and positions (GGA-PBE) and Cu Kα.

Atomic structure:
```
data_AgSbS2
_chemical_formula_sum 'Ag4 Sb4 S8'
_cell_length_a 5.4928
_cell_length_b 5.4928
_cell_length_c 11.4285
_cell_angle_alpha 90.00
_cell_angle_beta 90.00
_cell_angle_gamma 90.00
_symmetry_space_group_name_H-M 'I 41/a m d'
_symmetry_Int_Tables_number 141
loop_
_symmetry_equiv_pos_as_xyz
'x,y,z'
'-x,-y,-z'
'-y+1/4,x+3/4,z+1/4'
'y+1/4,-x+3/4,-z+1/4'
'-x+1/2,-y,z+1/2'
'x+1/2,y,-z+1/2'
'y+1/4,-x+1/4,z+3/4'
'-y+1/4,x+1/4,-z+3/4'
'x,-y,-z'
'-x,y,z'
'-y+1/4,-x+1/4,-z+3/4'
'y+1/4,x+1/4,z+3/4'
'-x+1/2,y,-z+1/2'
'x+1/2,-y,z+1/2'
'y+1/4,x+3/4,-z+1/4'
'-y+1/4,-x+3/4,z+1/4'
'x+1/2,y+1/2,z+1/2'
'-x+1/2,-y+1/2,-z+1/2'
'-y+3/4,x+1/4,z+3/4'
'y+3/4,-x+1/4,-z+3/4'
'-x,-y+1/2,z'
'x,y+1/2,-z'
'y+3/4,-x+3/4,z+1/4'
'-y+3/4,x+3/4,-z+1/4'
'x+1/2,-y+1/2,-z+1/2'
'-x+1/2,y+1/2,z+1/2'
'-y+3/4,-x+3/4,-z+1/4'
'y+3/4,x+3/4,z+1/4'
'-x,y+1/2,-z'
'x,-y+1/2,z'
'y+3/4,x+1/4,-z+3/4'
'-y+3/4,-x+1/4,z+3/4'
loop_
_atom_site_label
_atom_site_type_symbol
_atom_site_fract_x
_atom_site_fract_y
_atom_site_fract_z
_atom_site_occupancy
Ag1 Ag 0.0000 0.2500 0.3750 1
Sb1 Sb 0.0000 0.2500 0.8750 1
S1 S 0.0000 0.2500 0.1172 1
```

The 8 most intense peaks (15 to 90 degrees two-theta), sorted by position:
2theta, Rel. int.
27.77, 92
31.31, 55
32.60, 100
45.83, 73
46.78, 35
55.28, 28
57.37, 36
86.19, 23

***

Diffraction record for AgSbS2. The X-ray diffraction stick pattern is calculated, not measured: it uses DFT lattice parameters and positions (GGA-PBE) and Cu Kα.

Atomic structure:
```
data_AgSbS2
_chemical_formula_sum 'Ag3 Sb3 S6'
_cell_length_a 3.9762
_cell_length_b 3.9762
_cell_length_c 18.9339
_cell_angle_alpha 90.00
_cell_angle_beta 90.00
_cell_angle_gamma 120.00
_symmetry_space_group_name_H-M 'R -3 m'
_symmetry_Int_Tables_number 166
_symmetry_space_group_name_Hall '-R 3 2"'
loop_
_atom_site_label
_atom_site_type_symbol
_atom_site_fract_x
_atom_site_fract_y
_atom_site_fract_z
_atom_site_occupancy
Ag1 Ag 0.0000 0.0000 0.0000 1
Sb1 Sb 0.0000 0.0000 0.5000 1
S1 S 0.0000 0.0000 0.2501 1
```

The 8 most intense peaks (15 to 90 degrees two-theta), sorted by position:
2theta, Rel. int.
27.56, 45
28.28, 14
32.14, 100
45.63, 36
46.56, 34
56.91, 18
75.80, 15
77.18, 15